Theoretical powder diffraction line list
Compound: AgAsBr6
Radiation: CuKα
Structure: the GGA-PBE geometry in Alexandria
Kinematic intensities with the Lorentz-polarization factor, no thermal factor.

The 6 most intense peaks (2θ = 10–90°), by angle:
d [Å]	intensity
4.950	73
2.996	56
2.983	49
2.974	100
2.253	43
1.981	44

a = 6.853 Å, b = 6.872 Å, c = 7.171 Å
α = 61.54°, β = 89.91°, γ = 60.19°
Fractional positions:
Ag 0.000 0.000 0.000
As 0.500 0.000 0.500
Br 0.121 0.145 0.255
Br 0.265 0.137 0.744
Br 0.402 0.476 0.257
Br 0.598 0.524 0.743
Br 0.735 0.863 0.256
Br 0.879 0.855 0.745


Theoretical powder diffraction line list
Compound: AgAsBrCl6
Radiation: CuKα
Structure: the GGA-PBE geometry in Alexandria
Kinematic intensities with the Lorentz-polarization factor, no thermal factor.

The 6 most intense peaks (2θ = 10–90°), by angle:
d [Å]	intensity
7.119	77
6.298	100
6.251	34
4.697	89
3.173	83
2.659	33

a = 7.243 Å, b = 7.243 Å, c = 7.143 Å
α = 92.40°, β = 92.40°, γ = 119.33°
Fractional positions:
Ag 0.000 0.000 0.000
As 0.375 0.625 0.000
Br 0.138 0.862 0.500
Cl 0.063 0.343 0.155
Cl 0.290 0.004 0.213
Cl 0.364 0.388 0.787
Cl 0.612 0.636 0.213
Cl 0.657 0.937 0.845
Cl 0.996 0.710 0.787


Theoretical powder diffraction line list
Compound: AgAsWBr2
Radiation: CuKα
Structure: the GGA-PBE geometry in Alexandria
Kinematic intensities with the Lorentz-polarization factor, no thermal factor.

The 6 most intense peaks (2θ = 10–90°), by angle:
d [Å]	intensity
5.226	41
3.695	37
3.569	74
2.613	100
2.443	41
1.784	63

a = 5.226 Å, b = 5.226 Å, c = 4.885 Å
α = 90.00°, β = 90.00°, γ = 90.00°
Fractional positions:
Ag 0.000 0.000 0.000
As 0.500 0.500 0.000
W 0.500 0.500 0.500
Br 0.000 0.500 0.500
Br 0.500 0.000 0.500


Theoretical powder diffraction line list
Compound: AgAsC4S8N4F6
Radiation: CuKα
Structure: the GGA-PBE geometry in Alexandria
Kinematic intensities with the Lorentz-polarization factor, no thermal factor.

The 6 most intense peaks (2θ = 10–90°), by angle:
d [Å]	intensity
6.316	29
4.552	100
4.466	31
3.693	47
3.413	38
2.913	26

a = 8.932 Å, b = 8.932 Å, c = 6.567 Å
α = 90.00°, β = 90.00°, γ = 90.00°
Fractional positions:
Ag 0.000 0.000 0.000
As 0.500 0.500 0.000
C 0.108 0.731 0.332
C 0.269 0.108 0.668
C 0.731 0.892 0.668
C 0.892 0.269 0.332
S 0.032 0.607 0.726
S 0.205 0.634 0.506
S 0.366 0.205 0.494
S 0.393 0.032 0.274
S 0.607 0.968 0.274
S 0.634 0.795 0.494
S 0.795 0.366 0.506
S 0.968 0.393 0.726
N 0.047 0.804 0.208
N 0.196 0.047 0.792
N 0.804 0.953 0.792
N 0.953 0.196 0.208
F 0.332 0.393 0.998
F 0.393 0.668 0.002
F 0.500 0.500 0.271
F 0.500 0.500 0.729
F 0.607 0.332 0.002
F 0.668 0.607 0.998


Theoretical powder diffraction line list
Compound: SiAgAsC2
Radiation: CuKα
Structure: the GGA-PBE geometry in Alexandria
Kinematic intensities with the Lorentz-polarization factor, no thermal factor.

The 6 most intense peaks (2θ = 10–90°), by angle:
d [Å]	intensity
3.196	100
2.833	54
2.650	34
2.003	28
1.935	36
1.697	31

a = 4.006 Å, b = 4.006 Å, c = 5.300 Å
α = 90.00°, β = 90.00°, γ = 90.00°
Fractional positions:
Si 0.000 0.000 0.000
Ag 0.000 0.000 0.500
As 0.500 0.500 0.000
C 0.000 0.500 0.500
C 0.500 0.000 0.500


Theoretical powder diffraction line list
Compound: CaAgAsO4
Radiation: CuKα
Structure: the GGA-PBE geometry in Alexandria
Kinematic intensities with the Lorentz-polarization factor, no thermal factor.

The 6 most intense peaks (2θ = 10–90°), by angle:
d [Å]	intensity
3.577	50
2.967	69
2.917	90
2.805	100
2.207	43
2.060	39

a = 5.621 Å, b = 5.621 Å, c = 7.155 Å
α = 90.00°, β = 90.00°, γ = 116.27°
Fractional positions:
Ca 0.000 0.000 0.000
Ca 0.000 0.000 0.500
Ag 0.315 0.685 0.750
Ag 0.685 0.315 0.250
As 0.347 0.653 0.250
As 0.653 0.347 0.750
O 0.223 0.309 0.250
O 0.241 0.759 0.057
O 0.241 0.759 0.443
O 0.309 0.223 0.750
O 0.691 0.777 0.250
O 0.759 0.241 0.557
O 0.759 0.241 0.943
O 0.777 0.691 0.750


Theoretical powder diffraction line list
Compound: CaAgAsO5
Radiation: CuKα
Structure: the GGA-PBE geometry in Alexandria
Kinematic intensities with the Lorentz-polarization factor, no thermal factor.

The 6 most intense peaks (2θ = 10–90°), by angle:
d [Å]	intensity
6.085	73
3.271	37
3.043	44
3.013	100
2.721	85
2.151	40

a = 6.084 Å, b = 7.758 Å, c = 9.811 Å
α = 90.00°, β = 90.00°, γ = 90.00°
Fractional positions:
Ca 0.017 0.194 0.338
Ca 0.483 0.806 0.838
Ca 0.517 0.306 0.662
Ca 0.983 0.694 0.162
Ag 0.241 0.251 0.998
Ag 0.259 0.749 0.498
Ag 0.741 0.249 0.002
Ag 0.759 0.751 0.502
As 0.047 0.097 0.670
As 0.453 0.903 0.170
As 0.547 0.403 0.330
As 0.953 0.597 0.830
O 0.009 0.633 0.403
O 0.009 0.936 0.538
O 0.146 0.259 0.568
O 0.202 0.626 0.757
O 0.245 0.952 0.280
O 0.255 0.048 0.780
O 0.298 0.374 0.257
O 0.354 0.741 0.068
O 0.491 0.064 0.038
O 0.491 0.367 0.903
O 0.509 0.564 0.462
O 0.509 0.867 0.597
O 0.646 0.241 0.432
O 0.702 0.874 0.243
O 0.745 0.548 0.720
O 0.755 0.452 0.220
O 0.798 0.126 0.743
O 0.854 0.759 0.932
O 0.991 0.133 0.097
O 0.991 0.436 0.962


Theoretical powder diffraction line list
Compound: CaAg2AsO4
Radiation: CuKα
Structure: the GGA-PBE geometry in Alexandria
Kinematic intensities with the Lorentz-polarization factor, no thermal factor.

The 6 most intense peaks (2θ = 10–90°), by angle:
d [Å]	intensity
2.955	100
2.639	26
1.866	14
1.783	26
1.578	27
1.480	11

a = 6.110 Å, b = 6.110 Å, c = 6.110 Å
α = 128.82°, β = 128.82°, γ = 75.30°
Fractional positions:
Ca 0.000 0.000 0.000
Ag 0.250 0.750 0.500
Ag 0.500 0.500 0.000
As 0.750 0.250 0.500
O 0.028 0.563 0.880
O 0.437 0.317 0.465
O 0.683 0.148 0.120
O 0.852 0.972 0.535


Theoretical powder diffraction line list
Compound: Ce4AgAs5
Radiation: CuKα
Structure: the GGA-PBE geometry in Alexandria
Kinematic intensities with the Lorentz-polarization factor, no thermal factor.

The 6 most intense peaks (2θ = 10–90°), by angle:
d [Å]	intensity
3.458	12
2.923	100
2.145	46
1.997	24
1.729	21
1.346	18

a = 15.979 Å, b = 15.979 Å, c = 15.979 Å
α = 15.43°, β = 15.43°, γ = 15.43°
Fractional positions:
Ce 0.108 0.108 0.108
Ce 0.298 0.298 0.298
Ce 0.702 0.702 0.702
Ce 0.892 0.892 0.892
Ag 0.500 0.500 0.500
As 0.000 0.000 0.000
As 0.196 0.196 0.196
As 0.405 0.405 0.405
As 0.595 0.595 0.595
As 0.804 0.804 0.804


Theoretical powder diffraction line list
Compound: Ce2AgAs4
Radiation: CuKα
Structure: the GGA-PBE geometry in Alexandria
Kinematic intensities with the Lorentz-polarization factor, no thermal factor.

The 6 most intense peaks (2θ = 10–90°), by angle:
d [Å]	intensity
3.718	23
3.129	21
2.566	19
2.465	100
2.002	33
1.227	21

a = 4.003 Å, b = 4.003 Å, c = 10.031 Å
α = 90.00°, β = 90.00°, γ = 90.00°
Fractional positions:
Ce 0.000 0.500 0.234
Ce 0.500 0.000 0.766
Ag 0.000 0.000 0.500
As 0.000 0.000 0.000
As 0.000 0.500 0.677
As 0.500 0.000 0.323
As 0.500 0.500 0.000


Theoretical powder diffraction line list
Compound: CeAgAsO5
Radiation: CuKα
Structure: the GGA-PBE geometry in Alexandria
Kinematic intensities with the Lorentz-polarization factor, no thermal factor.

The 6 most intense peaks (2θ = 10–90°), by angle:
d [Å]	intensity
3.757	100
3.612	96
2.855	40
2.816	73
1.923	29
1.676	30

a = 6.141 Å, b = 6.141 Å, c = 8.244 Å
α = 108.06°, β = 108.06°, γ = 96.67°
Fractional positions:
Ce 0.000 0.000 0.000
Ce 0.000 0.000 0.500
Ag 0.311 0.689 0.750
Ag 0.689 0.311 0.250
As 0.347 0.653 0.250
As 0.653 0.347 0.750
O 0.072 0.928 0.750
O 0.202 0.723 0.400
O 0.277 0.798 0.100
O 0.283 0.352 0.134
O 0.352 0.283 0.634
O 0.648 0.717 0.366
O 0.717 0.648 0.866
O 0.723 0.202 0.900
O 0.798 0.277 0.600
O 0.928 0.072 0.250


Theoretical powder diffraction line list
Compound: CeAg2AsS4
Radiation: CuKα
Structure: the GGA-PBE geometry in Alexandria
Kinematic intensities with the Lorentz-polarization factor, no thermal factor.

The 6 most intense peaks (2θ = 10–90°), by angle:
d [Å]	intensity
3.401	61
3.183	57
3.073	100
2.511	39
1.986	47
1.944	37

a = 7.967 Å, b = 7.967 Å, c = 8.230 Å
α = 121.06°, β = 121.06°, γ = 78.14°
Fractional positions:
Ce 0.001 0.999 0.500
Ce 0.999 0.001 0.000
Ag 0.140 0.588 0.613
Ag 0.588 0.140 0.113
Ag 0.625 0.625 0.126
Ag 0.625 0.625 0.626
As 0.103 0.533 0.068
As 0.533 0.103 0.568
S 0.208 0.223 0.465
S 0.223 0.208 0.965
S 0.268 0.700 0.022
S 0.269 0.700 0.445
S 0.700 0.268 0.522
S 0.700 0.269 0.945
S 0.775 0.817 0.047
S 0.817 0.775 0.547


Theoretical powder diffraction line list
Compound: CeZnAgAs2
Radiation: CuKα
Structure: the GGA-PBE geometry in Alexandria
Kinematic intensities with the Lorentz-polarization factor, no thermal factor.

The 6 most intense peaks (2θ = 10–90°), by angle:
d [Å]	intensity
3.292	100
2.540	99
2.161	88
1.963	34
1.646	26
1.309	24

a = 4.323 Å, b = 4.323 Å, c = 6.915 Å
α = 90.00°, β = 90.00°, γ = 120.00°
Fractional positions:
Ce 0.000 0.000 0.000
Zn 0.667 0.333 0.383
Ag 0.333 0.667 0.645
As 0.333 0.667 0.253
As 0.667 0.333 0.764